CaBeAl2Au4: computed powder XRD pattern (CuKα), based on a crystal structure in Alexandria, relaxed with PBE.
Intensities are scaled so that the largest is 100.

Atomic structure:
Unit cell a=4.4227 b=4.4227 c=25.9088 alpha=90.00 beta=90.00 gamma=120.00
Space group R-3m (No. 166, hexagonal axes)
Symmetry-distinct sites (fractional):
Ca (0.0000, 0.0000, 0.0000) [3 per cell]
Be (0.0000, 0.0000, 0.5000) [3 per cell]
Al (0.0000, 0.0000, 0.2430) [6 per cell]
Au (0.0000, 0.0000, 0.1375) [6 per cell]
Au (0.0000, 0.0000, 0.4044) [6 per cell]

Most intense lines, 2θ = 10–80°, sorted by position:
2θ/deg, I/Imax, hkl
10.2, 43, 0 0 3
27.0, 100, 1 0 4
29.0, 22, 0 1 5
33.7, 65, 1 0 7
36.3, 31, 0 1 8
40.8, 86, 1 1 0
45.2, 47, 0 1 11
69.0, 25, 1 1 15

TaH: computed powder XRD pattern (CuKα), based on a crystal structure in Alexandria, relaxed with PBE.
Intensities are scaled so that the largest is 100.

Atomic structure:
Unit cell a=6.6610 b=6.8831 c=7.1986 alpha=90.00 beta=90.00 gamma=90.00
Space group Fddd (No. 70, origin choice 2)
Symmetry-distinct sites (fractional):
Ta (0.1149, 0.3750, 0.3750) [16 per cell]
H (0.1250, 0.1250, 0.4927) [16 per cell]

Most intense lines, 2θ = 10–80°, sorted by position:
2θ/deg, I/Imax, hkl
36.1, 100, 0 2 2
36.8, 94, 2 0 2
37.6, 87, 2 2 0
50.7, 19, 0 0 4
53.2, 17, 0 4 0
64.8, 37, 2 2 4
66.4, 34, 2 4 2
67.7, 31, 4 2 2

Ho3HgPd6: computed powder XRD pattern (CuKα), based on a crystal structure in Alexandria, relaxed with PBE.
Intensities are scaled so that the largest is 100.

Atomic structure:
Unit cell a=10.9944 b=16.6135 c=4.4475 alpha=90.00 beta=90.00 gamma=90.00
Space group Cmc2_1 (No. 36)
Symmetry-distinct sites (fractional):
Ho (0.0000, 0.0899, 0.0000) [4 per cell]
Ho (0.1695, 0.3957, 0.5016) [8 per cell]
Hg (0.0000, 0.2898, 0.0000) [4 per cell]
Pd (0.0000, 0.1896, 0.4998) [4 per cell]
Pd (0.0000, 0.4548, 0.0020) [4 per cell]
Pd (0.1693, 0.0498, 0.5005) [8 per cell]
Pd (0.2422, 0.2048, 0.5033) [8 per cell]

Most intense lines, 2θ = 10–80°, sorted by position:
2θ/deg, I/Imax, hkl
29.4, 36, 0 4 1
32.1, 70, 3 1 1
35.6, 73, 3 3 1
36.5, 37, 3 5 0
38.3, 100, 0 6 1
40.6, 65, 0 0 2
44.5, 30, 4 4 1
55.7, 28, 3 5 2

RbCeS3: computed powder XRD pattern (CuKα), based on a crystal structure in Alexandria, relaxed with PBE.
Intensities are scaled so that the largest is 100.

Atomic structure:
Unit cell a=4.1131 b=5.3455 c=6.2882 alpha=90.00 beta=90.00 gamma=90.00
Space group Pmmm (No. 47)
Symmetry-distinct sites (fractional):
Rb (0.0000, 0.0000, 0.0000) [1 per cell]
Ce (0.0000, 0.5000, 0.5000) [1 per cell]
S (0.0000, 0.0000, 0.5000) [1 per cell]
S (0.5000, 0.5000, 0.1941) [2 per cell]

Most intense lines, 2θ = 10–80°, sorted by position:
2θ/deg, I/Imax, hkl
21.6, 48, 1 0 0
21.8, 71, 0 1 1
28.4, 29, 0 0 2
30.9, 100, 1 1 1
33.5, 46, 0 2 0
36.0, 68, 1 0 2
46.5, 23, 0 1 3
50.0, 51, 1 2 2

BaPr2Tl: computed powder XRD pattern (CuKα), based on a crystal structure in Alexandria, relaxed with PBE.
Intensities are scaled so that the largest is 100.

Atomic structure:
Unit cell a=5.2294 b=5.2294 c=5.1503 alpha=90.00 beta=90.00 gamma=90.00
Space group P4/mmm (No. 123)
Symmetry-distinct sites (fractional):
Ba (0.0000, 0.0000, 0.0000) [1 per cell]
Pr (0.0000, 0.5000, 0.5000) [2 per cell]
Tl (0.5000, 0.5000, 0.0000) [1 per cell]

Most intense lines, 2θ = 10–80°, sorted by position:
2θ/deg, I/Imax, hkl
29.7, 100, 1 1 1
34.3, 34, 2 0 0
34.8, 16, 0 0 2
49.3, 12, 2 2 0
49.7, 24, 2 0 2
58.6, 29, 3 1 1
59.4, 14, 1 1 3
61.8, 13, 2 2 2

Cs2LiVCl6: computed powder XRD pattern (CuKα), based on a crystal structure in Alexandria, relaxed with PBE.
Intensities are scaled so that the largest is 100.

Atomic structure:
Unit cell a=7.3113 b=7.3113 c=36.0337 alpha=90.00 beta=90.00 gamma=120.00
Space group R-3m (No. 166, hexagonal axes)
Symmetry-distinct sites (fractional):
Cs (0.0000, 0.0000, 0.1251) [6 per cell]
Cs (0.0000, 0.0000, 0.2911) [6 per cell]
Li (0.0000, 0.0000, 0.0000) [3 per cell]
Li (0.0000, 0.0000, 0.5000) [3 per cell]
V (0.0000, 0.0000, 0.4136) [6 per cell]
Cl (0.0179, 0.5090, 0.2907) [18 per cell]
Cl (0.0298, 0.5149, 0.1205) [18 per cell]

Most intense lines, 2θ = 10–80°, sorted by position:
2θ/deg, I/Imax, hkl
22.3, 70, 1 0 7
24.3, 78, 1 1 0
29.8, 44, 0 0 12
30.8, 88, 2 0 5
33.2, 100, 0 2 7
37.8, 31, 0 2 10
49.9, 44, 2 2 0
59.2, 32, 2 2 12

In2TcRh: computed powder XRD pattern (CuKα), based on a crystal structure in Alexandria, relaxed with PBE.
Intensities are scaled so that the largest is 100.

Atomic structure:
Unit cell a=2.9477 b=2.9477 c=8.5481 alpha=90.00 beta=90.00 gamma=90.00
Space group P4mm (No. 99)
Symmetry-distinct sites (fractional):
In (0.0000, 0.0000, 0.0000) [1 per cell]
In (0.5000, 0.5000, 0.3314) [1 per cell]
Tc (0.5000, 0.5000, 0.7589) [1 per cell]
Rh (0.0000, 0.0000, 0.5689) [1 per cell]

Most intense lines, 2θ = 10–80°, sorted by position:
2θ/deg, I/Imax, hkl
10.3, 10, 0 0 1
31.4, 9, 0 0 3
37.0, 100, 1 0 2
43.4, 39, 1 1 0
44.2, 15, 1 0 3
62.2, 10, 1 1 4
63.1, 13, 2 0 0
75.5, 24, 2 1 2

Tb2PmY4Mg: computed powder XRD pattern (CuKα), based on a crystal structure in Alexandria, relaxed with PBE.
Intensities are scaled so that the largest is 100.

Atomic structure:
Unit cell a=4.9856 b=4.9856 c=10.1116 alpha=90.00 beta=90.00 gamma=90.00
Space group P4/mmm (No. 123)
Symmetry-distinct sites (fractional):
Tb (0.0000, 0.0000, 0.0000) [1 per cell]
Tb (0.5000, 0.5000, 0.5000) [1 per cell]
Pm (0.0000, 0.0000, 0.5000) [1 per cell]
Y (0.0000, 0.5000, 0.2452) [4 per cell]
Mg (0.5000, 0.5000, 0.0000) [1 per cell]

Most intense lines, 2θ = 10–80°, sorted by position:
2θ/deg, I/Imax, hkl
30.9, 100, 1 1 2
35.5, 17, 0 0 4
36.0, 33, 2 0 0
51.5, 23, 2 0 4
51.9, 12, 2 2 0
60.9, 14, 1 1 6
61.6, 27, 3 1 2
64.4, 12, 2 2 4

Q: Number 5 is which compound?
A: BaPr2Tl